Diffraction record for NaCrAgF6. The powder diffractogram is simulated, not measured: it uses a GGA+U-relaxed structure and CuKα.

Peak list (8 most intense, 2θ = 5–70°, in order of rising 2θ)
- d 4.815, 2θ 18.43, I = 195, hkl 1 0 0
- d 3.327, 2θ 26.80, I = 1000, hkl 1 0 2
- d 2.780, 2θ 32.20, I = 247, hkl 1 1 0
- d 2.380, 2θ 37.81, I = 172, hkl 2 -1 2
- d 2.133, 2θ 42.37, I = 272, hkl 2 0 2
- d 1.773, 2θ 51.56, I = 371, hkl 1 1 4
- d 1.692, 2θ 54.20, I = 258, hkl 2 1 2
- d 1.605, 2θ 57.41, I = 167, hkl 3 0 0

Structure:
Lattice parameters (Å, degrees): 5.560 5.560 9.203 90.00 90.00 120.00
Atoms (fractional coordinates):
Na (0.333, 0.667, 0.250)
Na (0.667, 0.333, 0.750)
Cr (0.333, 0.667, 0.750)
Cr (0.667, 0.333, 0.250)
Ag (0.000, 0.000, 0.000)
Ag (0.000, 0.000, 0.500)
F (0.047, 0.380, 0.633)
F (0.047, 0.668, 0.867)
F (0.332, 0.380, 0.867)
F (0.332, 0.953, 0.633)
F (0.380, 0.047, 0.133)
F (0.380, 0.332, 0.367)
F (0.620, 0.668, 0.633)
F (0.620, 0.953, 0.867)
F (0.668, 0.047, 0.367)
F (0.668, 0.620, 0.133)
F (0.953, 0.332, 0.133)
F (0.953, 0.620, 0.367)